# 1
Structure and computed powder diffractogram of CuPHW2 (a structure optimized by DFT (PBE); Cu Kα (λ = 1.5418 Å)).
Intensities are scaled so that the largest is 100.

Atomic structure:
Cell lengths 4.2316, 4.2316, 3.2321 Å; angles 90.00, 90.00, 90.00 degrees
Space group P4/mmm (No. 123)
Inequivalent atoms, fractional coordinates:
Cu 0.0000 0.0000 0.0000 (multiplicity 1)
P 0.5000 0.5000 0.0000 (multiplicity 1)
H 0.0000 0.0000 0.5000 (multiplicity 1)
W 0.0000 0.5000 0.5000 (multiplicity 2)

The 8 most intense peaks (2θ from 5° to 70°), sorted by position:
- hkl 0 0 1, 27.60 deg, I = 23
- hkl 1 1 0, 29.86 deg, I = 37
- hkl 1 1 1, 41.11 deg, I = 100
- hkl 2 0 0, 42.74 deg, I = 45
- hkl 2 0 1, 51.63 deg, I = 18
- hkl 0 0 2, 56.99 deg, I = 10
- hkl 2 2 0, 62.03 deg, I = 15
- hkl 1 1 2, 65.66 deg, I = 9

***

# 2
Structure and computed powder diffractogram of Ir3RuW (a structure optimized by DFT (PBE); Cu Kα (λ = 1.5418 Å)).
Intensities are scaled so that the largest is 100.

Atomic structure:
Cell lengths 4.7477, 13.7897, 4.7455 Å; angles 90.00, 109.27, 90.00 degrees
Space group C2/c (No. 15)
Inequivalent atoms, fractional coordinates:
Ir 0.0000 0.0529 0.2500 (multiplicity 4)
Ir 0.0000 0.2476 0.2500 (multiplicity 4)
Ir 0.0000 0.4462 0.2500 (multiplicity 4)
Ru 0.0000 0.1480 0.7500 (multiplicity 4)
W 0.0000 0.3502 0.7500 (multiplicity 4)

The 8 most intense peaks (2θ from 5° to 70°), sorted by position:
- hkl 0 2 1, 23.69 deg, I = 2
- hkl 1 1 -1, 23.88 deg, I = 2
- hkl 2 0 0, 40.18 deg, I = 100
- hkl 0 0 2, 40.26 deg, I = 33
- hkl 1 5 1, 46.67 deg, I = 44
- hkl 2 0 -2, 46.95 deg, I = 22
- hkl 0 10 0, 67.98 deg, I = 7
- hkl 2 0 2, 68.34 deg, I = 35

***

# 3
Structure and computed powder diffractogram of Ac2MgZn4Ge3 (a structure optimized by DFT (PBE); Cu Kα (λ = 1.5418 Å)).
Intensities are scaled so that the largest is 100.

Atomic structure:
Cell lengths 4.4609, 4.4609, 10.8769 Å; angles 90.00, 90.00, 90.00 degrees
Space group P-4m2 (No. 115)
Inequivalent atoms, fractional coordinates:
Ac 0.0000 0.5000 0.2408 (multiplicity 2)
Mg 0.0000 0.0000 0.5000 (multiplicity 1)
Zn 0.0000 0.0000 0.0000 (multiplicity 1)
Zn 0.0000 0.5000 0.6367 (multiplicity 2)
Zn 0.5000 0.5000 0.0000 (multiplicity 1)
Ge 0.0000 0.5000 0.8704 (multiplicity 2)
Ge 0.5000 0.5000 0.5000 (multiplicity 1)

The 8 most intense peaks (2θ from 5° to 70°), sorted by position:
- hkl 1 0 1, 21.53 deg, I = 28
- hkl 1 1 0, 28.29 deg, I = 35
- hkl 1 0 3, 31.81 deg, I = 79
- hkl 1 1 2, 32.82 deg, I = 100
- hkl 2 0 0, 40.44 deg, I = 54
- hkl 1 0 5, 46.44 deg, I = 35
- hkl 2 1 3, 52.34 deg, I = 40
- hkl 2 1 5, 63.25 deg, I = 27

***

# 4
Structure and computed powder diffractogram of Rb2SnTe2 (a structure optimized by DFT (PBE); Cu Kα (λ = 1.5418 Å)).
Intensities are scaled so that the largest is 100.

Atomic structure:
Cell lengths 8.2135, 14.9441, 7.7199 Å; angles 90.00, 90.00, 90.00 degrees
Space group Ibam (No. 72)
Inequivalent atoms, fractional coordinates:
Rb 0.1682 0.1424 0.0000 (multiplicity 8)
Sn 0.0000 0.5000 0.2500 (multiplicity 4)
Te 0.2176 0.3880 0.0000 (multiplicity 8)

The 8 most intense peaks (2θ from 5° to 70°), sorted by position:
- hkl 1 1 0, 12.30 deg, I = 45
- hkl 1 3 0, 20.86 deg, I = 36
- hkl 0 0 2, 23.04 deg, I = 45
- hkl 0 4 0, 23.82 deg, I = 34
- hkl 2 1 1, 25.28 deg, I = 51
- hkl 2 0 2, 31.82 deg, I = 87
- hkl 2 4 0, 32.40 deg, I = 72
- hkl 0 4 2, 33.38 deg, I = 100

***

# 5
Structure and computed powder diffractogram of SrSeF (a structure optimized by DFT (PBE); Cu Kα (λ = 1.5418 Å)).
Intensities are scaled so that the largest is 100.

Atomic structure:
Cell lengths 4.0454, 5.2180, 13.2225 Å; angles 90.00, 90.00, 90.00 degrees
Space group Immm (No. 71)
Inequivalent atoms, fractional coordinates:
Sr 0.0000 0.0000 0.1591 (multiplicity 4)
Se 0.0000 0.2446 0.5000 (multiplicity 4)
F 0.0000 0.5000 0.2346 (multiplicity 4)

The 8 most intense peaks (2θ from 5° to 70°), sorted by position:
- hkl 0 1 1, 18.28 deg, I = 21
- hkl 0 1 3, 26.47 deg, I = 33
- hkl 1 1 0, 27.91 deg, I = 20
- hkl 1 0 3, 29.98 deg, I = 100
- hkl 0 2 2, 37.04 deg, I = 34
- hkl 1 1 4, 39.20 deg, I = 17
- hkl 1 2 1, 41.76 deg, I = 44
- hkl 2 0 0, 44.81 deg, I = 19

***

# 6
Structure and computed powder diffractogram of Ti5Ni4Rh (a structure optimized by DFT (PBE); Cu Kα (λ = 1.5418 Å)).
Intensities are scaled so that the largest is 100.

Atomic structure:
Cell lengths 3.0273, 3.0273, 15.1877 Å; angles 90.00, 90.00, 90.00 degrees
Space group P4/mmm (No. 123)
Inequivalent atoms, fractional coordinates:
Ti 0.0000 0.0000 0.0000 (multiplicity 1)
Ti 0.0000 0.0000 0.1961 (multiplicity 2)
Ti 0.0000 0.0000 0.3923 (multiplicity 2)
Ni 0.5000 0.5000 0.0974 (multiplicity 2)
Ni 0.5000 0.5000 0.2950 (multiplicity 2)
Rh 0.5000 0.5000 0.5000 (multiplicity 1)

The 8 most intense peaks (2θ from 5° to 70°), sorted by position:
- hkl 0 0 1, 5.82 deg, I = 4
- hkl 0 0 5, 29.40 deg, I = 2
- hkl 1 0 0, 29.51 deg, I = 4
- hkl 1 0 4, 38.01 deg, I = 2
- hkl 1 1 0, 42.17 deg, I = 100
- hkl 1 1 5, 52.28 deg, I = 2
- hkl 0 0 10, 61.01 deg, I = 5
- hkl 2 0 0, 61.24 deg, I = 10

***

# 7
Structure and computed powder diffractogram of Ti5Zn2Ga2 (a structure optimized by DFT (PBE); Cu Kα (λ = 1.5418 Å)).
Intensities are scaled so that the largest is 100.

Atomic structure:
Cell lengths 5.0284, 15.0193, 7.8042 Å; angles 90.00, 90.00, 90.00 degrees
Space group Imma (No. 74)
Inequivalent atoms, fractional coordinates:
Ti 0.0000 0.1607 0.1338 (multiplicity 8)
Ti 0.0000 0.2500 0.4867 (multiplicity 4)
Ti 0.2500 0.0883 0.7500 (multiplicity 8)
Zn 0.0000 0.0000 0.0000 (multiplicity 4)
Zn 0.0000 0.2500 0.8345 (multiplicity 4)
Ga 0.0000 0.0748 0.4249 (multiplicity 8)

The 8 most intense peaks (2θ from 5° to 70°), sorted by position:
- hkl 0 1 3, 35.01 deg, I = 19
- hkl 2 0 0, 35.71 deg, I = 35
- hkl 0 3 3, 39.01 deg, I = 36
- hkl 1 2 3, 40.86 deg, I = 36
- hkl 2 3 1, 41.84 deg, I = 39
- hkl 1 6 1, 41.97 deg, I = 100
- hkl 2 0 2, 42.79 deg, I = 23
- hkl 3 6 1, 68.44 deg, I = 21

***

# 8
Structure and computed powder diffractogram of Cs5Nd2Br12 (a structure optimized by DFT (PBE); Cu Kα (λ = 1.5418 Å)).
Intensities are scaled so that the largest is 100.

Atomic structure:
Cell lengths 19.9176, 8.6524, 11.7933 Å; angles 90.00, 108.65, 90.00 degrees
Space group C2/m (No. 12)
Inequivalent atoms, fractional coordinates:
Cs 0.0000 0.0000 0.0000 (multiplicity 2)
Cs 0.1935 0.5000 0.3396 (multiplicity 4)
Cs 0.2078 0.5000 0.8580 (multiplicity 4)
Nd 0.0000 0.2495 0.5000 (multiplicity 4)
Br 0.0043 0.0000 0.6716 (multiplicity 4)
Br 0.0043 0.5000 0.6730 (multiplicity 4)
Br 0.1451 0.2811 0.0669 (multiplicity 8)
Br 0.1508 0.2579 0.5716 (multiplicity 8)

The 8 most intense peaks (2θ from 5° to 70°), sorted by position:
- hkl 0 0 1, 7.91 deg, I = 58
- hkl 3 1 0, 17.43 deg, I = 100
- hkl 1 1 -2, 18.21 deg, I = 77
- hkl 2 2 -2, 25.91 deg, I = 69
- hkl 0 2 2, 26.05 deg, I = 98
- hkl 4 2 0, 27.98 deg, I = 62
- hkl 6 0 0, 28.38 deg, I = 84
- hkl 2 0 -4, 30.33 deg, I = 71

***

- What is the formula in the eighth record?
  Cs5Nd2Br12

***

Copy entry 7 word for word.
Structure and computed powder diffractogram of Ti5Zn2Ga2 (a structure optimized by DFT (PBE); Cu Kα (λ = 1.5418 Å)).
Intensities are scaled so that the largest is 100.

Atomic structure:
Cell lengths 5.0284, 15.0193, 7.8042 Å; angles 90.00, 90.00, 90.00 degrees
Space group Imma (No. 74)
Inequivalent atoms, fractional coordinates:
Ti 0.0000 0.1607 0.1338 (multiplicity 8)
Ti 0.0000 0.2500 0.4867 (multiplicity 4)
Ti 0.2500 0.0883 0.7500 (multiplicity 8)
Zn 0.0000 0.0000 0.0000 (multiplicity 4)
Zn 0.0000 0.2500 0.8345 (multiplicity 4)
Ga 0.0000 0.0748 0.4249 (multiplicity 8)

The 8 most intense peaks (2θ from 5° to 70°), sorted by position:
- hkl 0 1 3, 35.01 deg, I = 19
- hkl 2 0 0, 35.71 deg, I = 35
- hkl 0 3 3, 39.01 deg, I = 36
- hkl 1 2 3, 40.86 deg, I = 36
- hkl 2 3 1, 41.84 deg, I = 39
- hkl 1 6 1, 41.97 deg, I = 100
- hkl 2 0 2, 42.79 deg, I = 23
- hkl 3 6 1, 68.44 deg, I = 21